(1)
Diffraction record for Sr2ZrV. The PXRD pattern is simulated, not measured: it uses a structure optimized by DFT (PBE) and Cu Ka.
Kinematic intensities with the Lorentz-polarization factor, no thermal factor.

Most intense lines, 2θ from 10° to 90°, sorted by position:
2θ = 19.3°, rel. 4.0
2θ = 31.7°, rel. 100.0
2θ = 37.4°, rel. 2.3
2θ = 45.5°, rel. 17.9
2θ = 56.5°, rel. 36.8
2θ = 66.3°, rel. 11.2
2θ = 75.4°, rel. 15.4
2θ = 84.1°, rel. 3.9

Structure:
Cell lengths 5.638, 5.638, 5.638 Å; angles 60.00, 60.00, 60.00 degrees
Fractional positions:
Sr (0.250, 0.250, 0.250)
Sr (0.750, 0.750, 0.750)
Zr (0.000, 0.000, 0.000)
V (0.500, 0.500, 0.500)

(2)
Diffraction record for BaFe12. The PXRD pattern is simulated, not measured: it uses a structure optimized by DFT (PBE) and Cu Ka.
Kinematic intensities with the Lorentz-polarization factor, no thermal factor.

Most intense lines, 2θ from 10° to 90°, sorted by position:
2θ = 25.3°, rel. 27.4
2θ = 30.6°, rel. 35.7
2θ = 37.1°, rel. 43.4
2θ = 38.4°, rel. 38.8
2θ = 42.2°, rel. 27.7
2θ = 44.6°, rel. 23.6
2θ = 46.6°, rel. 100.0
2θ = 52.0°, rel. 24.6

Structure:
Cell lengths 4.690, 4.690, 21.097 Å; angles 90.00, 90.00, 120.00 degrees
Fractional positions:
Ba (0.333, 0.667, 0.000)
Ba (0.667, 0.333, 0.500)
Fe (0.000, 0.000, 0.240)
Fe (0.000, 0.000, 0.421)
Fe (0.000, 0.000, 0.740)
Fe (0.000, 0.000, 0.921)
Fe (0.169, 0.337, 0.149)
Fe (0.169, 0.831, 0.149)
Fe (0.171, 0.341, 0.831)
Fe (0.171, 0.829, 0.831)
Fe (0.333, 0.667, 0.262)
Fe (0.333, 0.667, 0.388)
Fe (0.333, 0.667, 0.605)
Fe (0.333, 0.667, 0.721)
Fe (0.337, 0.169, 0.649)
Fe (0.341, 0.171, 0.331)
Fe (0.659, 0.829, 0.831)
Fe (0.663, 0.831, 0.149)
Fe (0.667, 0.333, 0.105)
Fe (0.667, 0.333, 0.221)
Fe (0.667, 0.333, 0.762)
Fe (0.667, 0.333, 0.888)
Fe (0.829, 0.171, 0.331)
Fe (0.829, 0.659, 0.331)
Fe (0.831, 0.169, 0.649)
Fe (0.831, 0.663, 0.649)

(3)
Diffraction record for Tl2In4GaSn. The PXRD pattern is simulated, not measured: it uses a structure optimized by DFT (PBE) and Cu Ka.
Kinematic intensities with the Lorentz-polarization factor, no thermal factor.

Most intense lines, 2θ from 10° to 90°, sorted by position:
2θ = 29.3°, rel. 52.1
2θ = 29.7°, rel. 100.0
2θ = 32.6°, rel. 14.3
2θ = 36.3°, rel. 32.0
2θ = 38.3°, rel. 53.7
2θ = 45.8°, rel. 25.9
2θ = 47.3°, rel. 27.8
2θ = 51.1°, rel. 14.5

Structure:
Cell lengths 6.608, 4.946, 7.748 Å; angles 90.00, 112.57, 90.00 degrees
Fractional positions:
Tl (0.000, 0.000, 0.000)
Tl (0.500, 0.500, 0.500)
In (0.022, 0.500, 0.718)
In (0.457, 0.000, 0.752)
In (0.543, 0.000, 0.248)
In (0.978, 0.500, 0.282)
Ga (0.000, 0.000, 0.500)
Sn (0.500, 0.500, 0.000)

(4)
Diffraction record for CaIn5Ag3. The PXRD pattern is simulated, not measured: it uses a structure optimized by DFT (PBE) and Cu Ka.
Kinematic intensities with the Lorentz-polarization factor, no thermal factor.

Most intense lines, 2θ from 10° to 90°, sorted by position:
2θ = 30.0°, rel. 91.8
2θ = 32.1°, rel. 82.5
2θ = 33.4°, rel. 100.0
2θ = 35.4°, rel. 95.4
2θ = 37.5°, rel. 78.9
2θ = 39.1°, rel. 58.7
2θ = 41.3°, rel. 71.1
2θ = 49.4°, rel. 54.7

Structure:
Cell lengths 7.727, 7.727, 16.152 Å; angles 90.00, 90.00, 152.37 degrees
Fractional positions:
Ca (0.154, 0.846, 0.750)
Ca (0.846, 0.154, 0.250)
In (0.000, 0.000, 0.000)
In (0.000, 0.000, 0.500)
In (0.191, 0.809, 0.075)
In (0.191, 0.809, 0.425)
In (0.462, 0.538, 0.659)
In (0.462, 0.538, 0.841)
In (0.538, 0.462, 0.159)
In (0.538, 0.462, 0.341)
In (0.809, 0.191, 0.575)
In (0.809, 0.191, 0.925)
Ag (0.163, 0.837, 0.250)
Ag (0.373, 0.627, 0.075)
Ag (0.373, 0.627, 0.425)
Ag (0.627, 0.373, 0.575)
Ag (0.627, 0.373, 0.925)
Ag (0.837, 0.163, 0.750)

Repeat the first record exactly.
Diffraction record for Sr2ZrV. The PXRD pattern is simulated, not measured: it uses a structure optimized by DFT (PBE) and Cu Ka.
Kinematic intensities with the Lorentz-polarization factor, no thermal factor.

Most intense lines, 2θ from 10° to 90°, sorted by position:
2θ = 19.3°, rel. 4.0
2θ = 31.7°, rel. 100.0
2θ = 37.4°, rel. 2.3
2θ = 45.5°, rel. 17.9
2θ = 56.5°, rel. 36.8
2θ = 66.3°, rel. 11.2
2θ = 75.4°, rel. 15.4
2θ = 84.1°, rel. 3.9

Structure:
Cell lengths 5.638, 5.638, 5.638 Å; angles 60.00, 60.00, 60.00 degrees
Fractional positions:
Sr (0.250, 0.250, 0.250)
Sr (0.750, 0.750, 0.750)
Zr (0.000, 0.000, 0.000)
V (0.500, 0.500, 0.500)

- What is the formula in the first record?
  Sr2ZrV

- Number 4 is which compound?
  CaIn5Ag3